Diffraction record for Nb3SiSnMo3. The powder X-ray diffraction pattern is calculated, not measured: it uses a cell relaxed with PBE and λ = 1.5418 Å (Cu Kα).
Peak positions follow from Bragg's law for the DFT cell and can differ from measured ones.

Structure:
```
8
Lattice="3.620 2.090 2.959 -3.620 2.090 2.959 0.000 -4.180 2.959" Properties=species:S:1:pos:R:3 pbc="T T T"
Nb -2.687 0.532 2.959
Nb 0.883 -2.593 2.959
Nb 1.804 2.061 2.959
Si 0.000 0.000 2.204
Sn 0.000 0.000 6.629
Mo -0.887 -1.573 4.406
Mo -0.919 1.554 4.406
Mo 1.805 0.018 4.406
```

Peak list (6 most intense, 15° ≤ 2θ ≤ 90°, in order of rising 2θ)
| Position (°2θ) | intensity |
| --- | --- |
| 35.0 | 26 |
| 39.3 | 100 |
| 43.3 | 57 |
| 65.7 | 22 |
| 68.6 | 29 |
| 87.2 | 20 |

=====

Diffraction record for Ta3Nb3Mo4. The powder X-ray diffraction pattern is calculated, not measured: it uses a cell relaxed with PBE and λ = 1.5418 Å (Cu Kα).
Peak positions follow from Bragg's law for the DFT cell and can differ from measured ones.

Structure:
```
10
Lattice="3.276 0.000 0.000 0.000 5.252 5.274 0.000 -5.252 5.274" Properties=species:S:1:pos:R:3 pbc="T T T"
Ta 0.000 0.000 0.000
Ta 0.000 -1.772 7.441
Ta 0.000 1.772 7.441
Nb 0.000 0.000 3.300
Nb 1.638 -2.448 4.518
Nb 1.638 2.448 4.518
Mo 1.638 -1.503 1.598
Mo 1.638 1.503 1.598
Mo 1.638 0.000 5.585
Mo 1.638 0.000 8.487
```

Peak list (6 most intense, 15° ≤ 2θ ≤ 90°, in order of rising 2θ)
| Position (°2θ) | intensity |
| --- | --- |
| 36.5 | 20 |
| 38.2 | 22 |
| 38.3 | 19 |
| 38.6 | 100 |
| 58.4 | 14 |
| 70.0 | 14 |

=====

Diffraction record for Ta3NbMo4. The powder X-ray diffraction pattern is calculated, not measured: it uses a cell relaxed with PBE and λ = 1.5418 Å (Cu Kα).
Peak positions follow from Bragg's law for the DFT cell and can differ from measured ones.

Structure:
```
8
Lattice="4.573 0.000 0.000 0.000 4.573 0.000 0.000 0.000 6.444" Properties=species:S:1:pos:R:3 pbc="T T T"
Ta 0.000 0.000 0.000
Ta 0.000 0.000 3.222
Ta 2.286 2.286 0.000
Nb 2.286 2.286 3.222
Mo 0.000 2.286 1.610
Mo 0.000 2.286 4.834
Mo 2.286 0.000 1.610
Mo 2.286 0.000 4.834
```

Peak list (6 most intense, 15° ≤ 2θ ≤ 90°, in order of rising 2θ)
| Position (°2θ) | intensity |
| --- | --- |
| 39.5 | 100 |
| 57.0 | 11 |
| 57.2 | 6 |
| 71.5 | 23 |
| 71.7 | 11 |
| 85.0 | 7 |

=====

Diffraction record for Ta5NbMo6. The powder X-ray diffraction pattern is calculated, not measured: it uses a cell relaxed with PBE and λ = 1.5418 Å (Cu Kα).
Peak positions follow from Bragg's law for the DFT cell and can differ from measured ones.

Structure:
```
12
Lattice="7.224 -3.226 0.000 7.224 3.226 0.000 -1.439 0.000 4.339" Properties=species:S:1:pos:R:3 pbc="T T T"
Ta 0.000 0.000 0.000
Ta 1.447 0.000 2.892
Ta 4.329 0.000 1.443
Ta 8.680 0.000 2.895
Ta 11.562 0.000 1.447
Nb 7.224 0.000 0.000
Mo 3.618 1.612 3.616
Mo 6.504 1.612 2.169
Mo 9.391 1.612 0.723
Mo 3.618 -1.612 3.616
Mo 6.504 -1.612 2.169
Mo 9.391 -1.612 0.723
```

Peak list (6 most intense, 15° ≤ 2θ ≤ 90°, in order of rising 2θ)
| Position (°2θ) | intensity |
| --- | --- |
| 27.6 | 8 |
| 39.5 | 100 |
| 57.0 | 11 |
| 71.5 | 23 |
| 71.6 | 11 |
| 84.9 | 7 |

=====

Diffraction record for Ta3Nb3Mo. The powder X-ray diffraction pattern is calculated, not measured: it uses a cell relaxed with PBE and λ = 1.5418 Å (Cu Kα).
Peak positions follow from Bragg's law for the DFT cell and can differ from measured ones.

Structure:
```
14
Lattice="2.861 -4.439 0.000 2.861 4.439 0.000 -1.255 0.000 10.280" Properties=species:S:1:pos:R:3 pbc="T T T"
Ta 2.861 2.907 0.000
Ta 2.234 2.179 5.140
Ta 2.238 0.000 1.206
Ta 2.230 0.000 9.075
Ta 2.234 -2.179 5.140
Ta 2.861 -2.907 0.000
Nb 1.301 2.392 2.413
Nb 0.346 0.000 3.704
Nb 3.167 2.392 7.867
Nb 1.301 -2.392 2.413
Nb 4.123 0.000 6.576
Nb 3.167 -2.392 7.867
Mo 1.329 0.000 6.437
Mo 3.139 0.000 3.843
```

Peak list (6 most intense, 15° ≤ 2θ ≤ 90°, in order of rising 2θ)
| Position (°2θ) | intensity |
| --- | --- |
| 30.5 | 17 |
| 34.2 | 24 |
| 35.8 | 30 |
| 38.0 | 68 |
| 39.9 | 71 |
| 40.6 | 100 |

=====

Diffraction record for Ta3Nb2Mo6. The powder X-ray diffraction pattern is calculated, not measured: it uses a cell relaxed with PBE and λ = 1.5418 Å (Cu Kα).
Peak positions follow from Bragg's law for the DFT cell and can differ from measured ones.

Structure:
```
11
Lattice="4.591 -6.940 0.000 4.591 6.940 0.000 0.000 0.000 3.084" Properties=species:S:1:pos:R:3 pbc="T T T"
Ta 0.000 0.000 0.000
Ta 4.591 4.270 1.542
Ta 4.591 -4.270 1.542
Nb 2.317 0.000 1.542
Nb 6.865 0.000 1.542
Mo 2.319 2.241 0.000
Mo 4.591 1.388 0.000
Mo 2.319 -2.241 0.000
Mo 6.863 2.241 0.000
Mo 4.591 -1.388 0.000
Mo 6.863 -2.241 0.000
```

Peak list (6 most intense, 15° ≤ 2θ ≤ 90°, in order of rising 2θ)
| Position (°2θ) | intensity |
| --- | --- |
| 33.7 | 45 |
| 36.3 | 46 |
| 37.4 | 100 |
| 39.2 | 50 |
| 44.0 | 36 |
| 46.2 | 20 |

=====

Diffraction record for Ta3Nb2Mo. The powder X-ray diffraction pattern is calculated, not measured: it uses a cell relaxed with PBE and λ = 1.5418 Å (Cu Kα).
Peak positions follow from Bragg's law for the DFT cell and can differ from measured ones.

Structure:
```
12
Lattice="5.699 0.000 0.000 0.000 4.635 0.000 -0.053 0.000 8.093" Properties=species:S:1:pos:R:3 pbc="T T T"
Ta 5.686 1.159 1.924
Ta -0.040 3.476 6.169
Ta 1.815 1.159 7.464
Ta 2.797 3.476 6.029
Ta 2.849 1.159 2.064
Ta 3.831 3.476 0.628
Nb 0.959 1.159 4.695
Nb 1.831 3.476 3.320
Nb 3.816 1.159 4.773
Nb 4.687 3.476 3.398
Mo 0.970 3.476 0.678
Mo 4.676 1.159 7.415
```

Peak list (6 most intense, 15° ≤ 2θ ≤ 90°, in order of rising 2θ)
| Position (°2θ) | intensity |
| --- | --- |
| 38.6 | 99 |
| 38.7 | 98 |
| 38.8 | 100 |
| 56.1 | 33 |
| 69.8 | 25 |
| 70.2 | 51 |

=====

Diffraction record for Ta4Nb4Mo3. The powder X-ray diffraction pattern is calculated, not measured: it uses a cell relaxed with PBE and λ = 1.5418 Å (Cu Kα).
Peak positions follow from Bragg's law for the DFT cell and can differ from measured ones.

Structure:
```
11
Lattice="2.882 0.000 0.000 0.015 4.601 0.000 0.817 2.238 14.519" Properties=species:S:1:pos:R:3 pbc="T T T"
Ta 0.913 2.272 6.574
Ta 0.908 4.592 2.621
Ta 2.805 2.247 11.897
Ta 2.800 4.568 7.945
Nb 1.749 4.544 13.206
Nb 1.776 2.262 9.280
Nb 1.937 4.577 5.239
Nb 1.964 2.295 1.313
Mo 0.000 0.000 0.000
Mo 0.871 4.555 10.590
Mo 2.842 2.284 3.929
```

Peak list (6 most intense, 15° ≤ 2θ ≤ 90°, in order of rising 2θ)
| Position (°2θ) | intensity |
| --- | --- |
| 38.4 | 100 |
| 38.6 | 99 |
| 38.8 | 97 |
| 39.2 | 95 |
| 39.3 | 94 |
| 39.4 | 93 |

=====

Diffraction record for Ta4Nb4Mo. The powder X-ray diffraction pattern is calculated, not measured: it uses a cell relaxed with PBE and λ = 1.5418 Å (Cu Kα).
Peak positions follow from Bragg's law for the DFT cell and can differ from measured ones.

Structure:
```
9
Lattice="-4.947 4.947 1.643 4.947 -4.947 1.643 4.947 4.947 -1.643" Properties=species:S:1:pos:R:3 pbc="T T T"
Ta 1.608 1.608 0.000
Ta 3.339 -3.339 1.643
Ta -3.339 3.339 1.643
Ta 3.339 3.339 1.643
Nb 4.947 1.640 0.000
Nb 1.640 4.947 0.000
Nb 3.307 0.000 1.643
Nb 0.000 3.307 1.643
Mo 0.000 0.000 1.643
```

Peak list (6 most intense, 15° ≤ 2θ ≤ 90°, in order of rising 2θ)
| Position (°2θ) | intensity |
| --- | --- |
| 28.6 | 7 |
| 38.7 | 100 |
| 55.7 | 11 |
| 69.9 | 23 |
| 70.1 | 11 |
| 83.0 | 7 |

=====

Diffraction record for TaNb4Mo. The powder X-ray diffraction pattern is calculated, not measured: it uses a cell relaxed with PBE and λ = 1.5418 Å (Cu Kα).
Peak positions follow from Bragg's law for the DFT cell and can differ from measured ones.

Structure:
```
12
Lattice="2.809 -4.151 0.000 2.809 4.151 0.000 0.000 0.000 9.283" Properties=species:S:1:pos:R:3 pbc="T T T"
Ta 1.405 2.075 0.000
Ta 1.405 -2.075 4.642
Nb 1.416 0.698 4.642
Nb 2.809 2.727 2.321
Nb 2.809 2.727 6.962
Nb 1.416 -0.698 0.000
Nb 4.203 0.698 0.000
Nb 2.809 -2.727 2.321
Nb 2.809 -2.727 6.962
Nb 4.203 -0.698 4.642
Mo 2.809 0.000 2.321
Mo 2.809 0.000 6.962
```

Peak list (6 most intense, 15° ≤ 2θ ≤ 90°, in order of rising 2θ)
| Position (°2θ) | intensity |
| --- | --- |
| 36.2 | 13 |
| 37.5 | 100 |
| 38.8 | 29 |
| 41.2 | 18 |
| 46.9 | 20 |
| 89.5 | 12 |

=====

Diffraction record for Ta4NbMo2. The powder X-ray diffraction pattern is calculated, not measured: it uses a cell relaxed with PBE and λ = 1.5418 Å (Cu Kα).
Peak positions follow from Bragg's law for the DFT cell and can differ from measured ones.

Structure:
```
7
Lattice="2.318 1.338 7.153 -2.318 1.338 7.153 0.000 -2.677 7.153" Properties=species:S:1:pos:R:3 pbc="T T T"
Ta 0.000 0.000 2.527
Ta 0.000 0.000 5.429
Ta 0.000 0.000 16.028
Ta 0.000 0.000 18.930
Nb 0.000 0.000 10.729
Mo 0.000 0.000 8.089
Mo 0.000 0.000 13.369
```

Peak list (6 most intense, 15° ≤ 2θ ≤ 90°, in order of rising 2θ)
| Position (°2θ) | intensity |
| --- | --- |
| 23.7 | 18 |
| 38.9 | 100 |
| 40.4 | 84 |
| 57.3 | 30 |
| 70.3 | 17 |
| 71.4 | 32 |

=====

Diffraction record for TaNb4Mo. The powder X-ray diffraction pattern is calculated, not measured: it uses a cell relaxed with PBE and λ = 1.5418 Å (Cu Kα).
Peak positions follow from Bragg's law for the DFT cell and can differ from measured ones.

Structure:
```
12
Lattice="5.441 0.000 0.000 0.000 5.366 0.000 0.000 0.000 7.645" Properties=species:S:1:pos:R:3 pbc="T T T"
Ta 0.000 0.000 0.000
Ta 2.721 0.000 3.823
Nb 0.000 1.289 2.861
Nb 0.000 4.077 4.784
Nb 1.360 1.412 5.734
Nb 1.360 3.954 1.911
Nb 2.721 1.289 0.961
Nb 2.721 4.077 6.684
Nb 4.081 1.412 5.734
Nb 4.081 3.954 1.911
Mo 0.000 2.683 0.000
Mo 2.721 2.683 3.823
```

Peak list (6 most intense, 15° ≤ 2θ ≤ 90°, in order of rising 2θ)
| Position (°2θ) | intensity |
| --- | --- |
| 33.2 | 30 |
| 39.0 | 100 |
| 39.2 | 86 |
| 40.7 | 50 |
| 41.1 | 49 |
| 69.6 | 39 |

=====

Diffraction record for TaNb3Mo8. The powder X-ray diffraction pattern is calculated, not measured: it uses a cell relaxed with PBE and λ = 1.5418 Å (Cu Kα).
Peak positions follow from Bragg's law for the DFT cell and can differ from measured ones.

Structure:
```
12
Lattice="6.610 -2.271 0.000 6.610 2.271 0.000 -6.161 0.000 6.618" Properties=species:S:1:pos:R:3 pbc="T T T"
Ta 0.000 0.000 0.000
Nb -3.081 0.000 3.309
Nb 5.074 0.000 1.650
Nb 1.985 0.000 4.968
Mo -0.337 0.000 2.782
Mo -3.418 0.000 6.091
Mo 2.324 0.000 2.179
Mo -0.755 0.000 5.489
Mo 7.814 0.000 1.129
Mo 4.734 0.000 4.439
Mo 10.476 0.000 0.527
Mo 7.396 0.000 3.835
```

Peak list (6 most intense, 15° ≤ 2θ ≤ 90°, in order of rising 2θ)
| Position (°2θ) | intensity |
| --- | --- |
| 39.6 | 100 |
| 39.7 | 66 |
| 39.9 | 33 |
| 57.5 | 22 |
| 71.8 | 17 |
| 72.0 | 28 |